# MnBePIrF
Simulated powder diffractogram, Cu Ka. Input: the PBE+U geometry in Alexandria.

Atomic structure:
```
data_MnBePIrF
_chemical_formula_sum 'Mn1 Be1 P1 Ir1 F1'
_cell_length_a 2.634
_cell_length_b 2.802
_cell_length_c 10.240
_cell_angle_alpha 90.00
_cell_angle_beta 93.86
_cell_angle_gamma 90.00
_space_group_name_H-M_alt 'P 1 m 1'
_space_group_IT_number 6
loop_
_space_group_symop_operation_xyz
'x,y,z'
'x,-y,z'
loop_
_atom_site_label
_atom_site_fract_x
_atom_site_fract_y
_atom_site_fract_z
Mn1 0.000 0.000 0.000
Be1 0.756 0.000 0.632
P1 0.538 0.500 0.189
Ir1 0.501 0.500 0.805
F1 0.221 0.000 0.542
```

Principal peaks in the range 5 to 70 degrees two-theta, low angle first:
d [Å]	Rel. int.
10.217	100
5.109	9
3.406	6
2.702	5
2.554	4
2.457	14
2.404	5
2.275	5
2.164	9
2.152	4
2.043	4
1.917	7